Structure and theoretical powder diffractogram of SiBi2O5 (a GGA-PBE-relaxed structure; Cu Kα).

Most intense lines, 2θ from 10° to 90°, by intensity:
| 2theta | I/Imax |
| --- | --- |
| 21.9 | 100.0 |
| 29.3 | 99.4 |
| 27.9 | 83.4 |
| 24.1 | 59.8 |
| 27.0 | 55.2 |
| 33.9 | 52.1 |
| 33.0 | 51.5 |
| 50.3 | 44.7 |
| 14.4 | 41.5 |
| 29.0 | 40.4 |

Structure:
Unit cell a=8.273 b=8.273 c=11.079 alpha=119.18 beta=119.18 gamma=50.49
Fractional positions:
1 Si 0.093 0.271 0.303
2 Si 0.271 0.093 0.803
3 Si 0.729 0.907 0.197
4 Si 0.907 0.729 0.697
5 Bi 0.207 0.708 0.519
6 Bi 0.248 0.458 0.157
7 Bi 0.292 0.793 0.981
8 Bi 0.458 0.248 0.657
9 Bi 0.542 0.752 0.343
10 Bi 0.708 0.207 0.019
11 Bi 0.752 0.542 0.843
12 Bi 0.793 0.292 0.481
13 O 0.085 0.109 0.138
14 O 0.109 0.085 0.638
15 O 0.128 0.267 0.922
16 O 0.154 0.594 0.679
17 O 0.160 0.435 0.326
18 O 0.267 0.128 0.422
19 O 0.389 0.581 0.105
20 O 0.406 0.846 0.821
21 O 0.419 0.611 0.395
22 O 0.435 0.160 0.826
23 O 0.565 0.840 0.174
24 O 0.581 0.389 0.605
25 O 0.594 0.154 0.179
26 O 0.611 0.419 0.895
27 O 0.733 0.872 0.578
28 O 0.840 0.565 0.674
29 O 0.846 0.406 0.321
30 O 0.872 0.733 0.078
31 O 0.891 0.915 0.362
32 O 0.915 0.891 0.862

Structure and theoretical powder diffractogram of RbTa3Te12Au4 (a GGA-PBE-relaxed structure; Cu Kα).

Most intense lines, 2θ from 10° to 90°, by intensity:
| 2theta | I/Imax |
| --- | --- |
| 22.5 | 100.0 |
| 37.7 | 67.4 |
| 19.4 | 60.7 |
| 41.2 | 60.7 |
| 29.9 | 47.9 |
| 47.4 | 29.3 |
| 11.2 | 27.7 |
| 27.7 | 25.5 |
| 44.4 | 23.4 |
| 50.3 | 23.1 |

Structure:
Unit cell a=9.686 b=9.686 c=9.686 alpha=109.54 beta=109.54 gamma=109.54
Fractional positions:
1 Rb 0.000 0.000 0.000
2 Ta 0.000 0.542 0.458
3 Ta 0.458 0.000 0.542
4 Ta 0.542 0.458 0.000
5 Te 0.041 0.653 0.763
6 Te 0.121 0.879 0.500
7 Te 0.237 0.347 0.959
8 Te 0.329 0.671 0.500
9 Te 0.347 0.959 0.237
10 Te 0.500 0.121 0.879
11 Te 0.500 0.329 0.671
12 Te 0.653 0.763 0.041
13 Te 0.671 0.500 0.329
14 Te 0.763 0.041 0.653
15 Te 0.879 0.500 0.121
16 Te 0.959 0.237 0.347
17 Au 0.051 0.500 0.949
18 Au 0.500 0.500 0.500
19 Au 0.500 0.949 0.051
20 Au 0.949 0.051 0.500

Structure and theoretical powder diffractogram of CsZr2Sc (a GGA-PBE-relaxed structure; Cu Kα).

Most intense lines, 2θ from 10° to 90°, by intensity:
| 2theta | I/Imax |
| --- | --- |
| 29.5 | 100.0 |
| 43.7 | 65.4 |
| 37.3 | 52.1 |
| 31.9 | 40.6 |
| 49.9 | 22.2 |
| 65.1 | 19.4 |
| 67.0 | 17.6 |
| 68.3 | 16.6 |
| 71.6 | 14.4 |
| 58.7 | 13.3 |

Structure:
Unit cell a=11.669 b=11.669 c=11.669 alpha=158.01 beta=158.01 gamma=31.30
Fractional positions:
1 Cs 0.000 0.000 0.000
2 Cs 0.750 0.250 0.500
3 Zr 0.138 0.625 0.013
4 Zr 0.375 0.388 0.513
5 Zr 0.612 0.125 0.987
6 Zr 0.875 0.862 0.487
7 Sc 0.250 0.750 0.500
8 Sc 0.500 0.500 0.000

Structure and theoretical powder diffractogram of La2CeIn6 (a GGA-PBE-relaxed structure; Cu Kα).

Most intense lines, 2θ from 10° to 90°, by intensity:
| 2theta | I/Imax |
| --- | --- |
| 31.4 | 100.0 |
| 35.3 | 77.5 |
| 48.0 | 30.3 |
| 61.6 | 29.9 |
| 61.0 | 29.1 |
| 63.4 | 13.6 |
| 83.8 | 12.5 |
| 83.3 | 12.0 |
| 48.7 | 10.3 |
| 74.7 | 8.4 |

Structure:
Unit cell a=8.799 b=8.799 c=3.740 alpha=90.00 beta=90.00 gamma=120.00
Fractional positions:
1 La 0.333 0.667 0.000
2 La 0.667 0.333 0.000
3 Ce 0.000 0.000 0.000
4 In 0.000 0.332 0.500
5 In 0.000 0.668 0.500
6 In 0.332 0.000 0.500
7 In 0.332 0.332 0.500
8 In 0.668 0.000 0.500
9 In 0.668 0.668 0.500